No. 1
Structure and theoretical powder diffractogram of Nd2Sm5Dy2 (a structure optimized by DFT (GGA-PBE); CuKα).
Intensities are scaled so that the largest is 100.

Cell and atoms:
```
data_Nd2Sm5Dy2
_chemical_formula_sum 'Nd4 Sm10 Dy4'
_space_group_name_H-M_alt 'C 1 2/m 1'
_space_group_IT_number 12
_cell_length_a 12.614
_cell_length_b 6.016
_cell_length_c 9.750
_cell_angle_alpha 90.00
_cell_angle_beta 125.22
_cell_angle_gamma 90.00
loop_
_space_group_symop_operation_xyz
'x,y,z'
'-x,-y,-z'
'-x,y,-z'
'x,-y,z'
'x+1/2,y+1/2,z'
'-x+1/2,-y+1/2,-z'
'-x+1/2,y+1/2,-z'
'x+1/2,-y+1/2,z'
loop_
_atom_site_label
_atom_site_type_symbol
_atom_site_fract_x
_atom_site_fract_y
_atom_site_fract_z
Nd1 Nd 0.048 0.000 0.215
Sm1 Sm 0.000 0.500 0.000
Sm2 Sm 0.118 0.500 0.452
Sm3 Sm 0.215 0.500 0.881
Dy1 Dy 0.165 0.000 0.666
```

Principal peaks in the range 15° ≤ 2θ ≤ 90°, low angle first:
h k l, d/Å, 2θ (°), I/Imax
0 2 0, 3.010, 29.68, 61.0
3 1 -3, 2.795, 32.02, 100.0
4 2 -1, 2.128, 42.47, 23.0
2 0 -5, 1.853, 49.16, 7.5
3 3 -3, 1.694, 54.13, 22.8
1 3 2, 1.692, 54.20, 22.1
6 0 -6, 1.579, 58.47, 13.5
0 4 0, 1.505, 61.63, 7.6
4 4 -1, 1.346, 69.88, 10.3
7 3 -4, 1.325, 71.15, 9.8
5 1 -8, 1.187, 81.04, 6.9
3 5 -3, 1.124, 86.56, 8.8


No. 2
Structure and theoretical powder diffractogram of NaAl2InBr8 (a structure optimized by DFT (GGA-PBE); CuKα).
Intensities are scaled so that the largest is 100.

Cell and atoms:
```
data_NaAl2InBr8
_chemical_formula_sum 'Na1 Al2 In1 Br8'
_space_group_name_H-M_alt 'P -3 m 1'
_space_group_IT_number 164
_space_group_name_Hall '-P 3 2"'
_cell_length_a 7.6587
_cell_length_b 7.6587
_cell_length_c 9.5340
_cell_angle_alpha 90.00
_cell_angle_beta 90.00
_cell_angle_gamma 120.00
loop_
_atom_site_label
_atom_site_type_symbol
_atom_site_fract_x
_atom_site_fract_y
_atom_site_fract_z
Na1 Na 0.0000 0.0000 0.0000
Al1 Al 0.3333 0.6667 0.6965
In1 In 0.0000 0.0000 0.5000
Br1 Br 0.1675 0.3350 0.7807
Br2 Br 0.3333 0.6667 0.4566
```

Principal peaks in the range 15° ≤ 2θ ≤ 90°, low angle first:
h k l, d/Å, 2θ (°), I/Imax
1 0 1, 5.445, 16.28, 51.5
1 1 0, 3.829, 23.23, 18.8
1 1 1, 3.553, 25.06, 72.4
0 2 1, 3.132, 28.50, 100.0
1 1 2, 2.985, 29.93, 77.8
1 0 3, 2.866, 31.21, 33.1
2 0 2, 2.722, 32.90, 45.9
0 3 2, 2.006, 45.21, 24.4
2 1 3, 1.968, 46.12, 21.4
2 0 4, 1.935, 46.95, 32.1
2 2 0, 1.915, 47.49, 49.7
2 2 4, 1.493, 62.19, 20.3


No. 3
Structure and theoretical powder diffractogram of PmCu5Rh2 (a structure optimized by DFT (GGA-PBE); CuKα).
Intensities are scaled so that the largest is 100.

Cell and atoms:
```
data_PmCu5Rh2
_chemical_formula_sum 'Pm2 Cu10 Rh4'
_space_group_name_H-M_alt 'I m m m'
_space_group_IT_number 71
_space_group_name_Hall '-I 2 2'
_cell_length_a 3.837
_cell_length_b 7.241
_cell_length_c 9.120
_cell_angle_alpha 90.00
_cell_angle_beta 90.00
_cell_angle_gamma 90.00
loop_
_atom_site_label
_atom_site_type_symbol
_atom_site_fract_x
_atom_site_fract_y
_atom_site_fract_z
Pm1 Pm 0.000 0.000 0.000
Cu1 Cu 0.000 0.173 0.359
Cu2 Cu 0.000 0.500 0.000
Rh1 Rh 0.000 0.500 0.273
```

Principal peaks in the range 15° ≤ 2θ ≤ 90°, low angle first:
h k l, d/Å, 2θ (°), I/Imax
0 2 0, 3.620, 24.59, 37.2
1 1 2, 2.721, 32.92, 62.2
1 2 1, 2.530, 35.48, 64.2
1 0 3, 2.383, 37.75, 100.0
0 3 1, 2.333, 38.59, 24.8
1 3 0, 2.043, 44.34, 34.3
0 2 4, 1.929, 47.10, 50.2
2 0 0, 1.919, 47.39, 42.1
0 3 3, 1.891, 48.11, 25.2
1 3 2, 1.864, 48.85, 35.1
2 2 4, 1.360, 69.04, 30.5
1 2 7, 1.168, 82.63, 19.4


No. 4
Structure and theoretical powder diffractogram of Ac2Pr15Ho2 (a structure optimized by DFT (GGA-PBE); CuKα).
Intensities are scaled so that the largest is 100.

Cell and atoms:
```
data_Ac2Pr15Ho2
_chemical_formula_sum 'Ac6 Pr45 Ho6'
_space_group_name_H-M_alt 'R -3 m'
_space_group_IT_number 166
_space_group_name_Hall '-R 3 2"'
_cell_length_a 11.6730
_cell_length_b 11.6730
_cell_length_c 18.2115
_cell_angle_alpha 90.00
_cell_angle_beta 90.00
_cell_angle_gamma 120.00
loop_
_atom_site_label
_atom_site_type_symbol
_atom_site_fract_x
_atom_site_fract_y
_atom_site_fract_z
Ac1 Ac 0.0000 0.0000 0.1744
Pr1 Pr 0.0000 0.2919 0.5000
Pr2 Pr 0.0000 0.5000 0.0000
Pr3 Pr 0.0123 0.5061 0.6386
Ho1 Ho 0.0000 0.0000 0.4067
```

Principal peaks in the range 15° ≤ 2θ ≤ 90°, low angle first:
h k l, d/Å, 2θ (°), I/Imax
0 2 4, 3.383, 26.35, 19.4
3 0 0, 3.370, 26.45, 22.2
0 0 6, 3.035, 29.43, 17.8
2 0 5, 2.949, 30.30, 100.0
2 2 0, 2.919, 30.63, 45.7
2 2 3, 2.631, 34.08, 31.7
0 4 5, 2.075, 43.63, 11.6
1 2 8, 1.956, 46.42, 14.4
0 3 9, 1.735, 52.77, 12.6
4 2 5, 1.692, 54.22, 17.0
6 0 0, 1.685, 54.45, 17.7
2 6 5, 1.308, 72.22, 10.4


No. 5
Structure and theoretical powder diffractogram of Pm3Zn2Ag9 (a structure optimized by DFT (GGA-PBE); CuKα).
Intensities are scaled so that the largest is 100.

Cell and atoms:
```
data_Pm3Zn2Ag9
_chemical_formula_sum 'Pm6 Zn4 Ag18'
_space_group_name_H-M_alt 'I m m m'
_space_group_IT_number 71
_space_group_name_Hall '-I 2 2'
_cell_length_a 4.587
_cell_length_b 10.070
_cell_length_c 12.908
_cell_angle_alpha 90.00
_cell_angle_beta 90.00
_cell_angle_gamma 90.00
loop_
_atom_site_label
_atom_site_type_symbol
_atom_site_fract_x
_atom_site_fract_y
_atom_site_fract_z
Pm1 Pm 0.000 0.000 0.000
Pm2 Pm 0.000 0.000 0.300
Zn1 Zn 0.000 0.188 0.500
Ag1 Ag 0.000 0.282 0.128
Ag2 Ag 0.000 0.364 0.341
Ag3 Ag 0.000 0.500 0.000
```

Principal peaks in the range 15° ≤ 2θ ≤ 90°, low angle first:
h k l, d/Å, 2θ (°), I/Imax
1 0 3, 3.138, 28.44, 23.1
0 2 4, 2.717, 32.97, 35.9
1 3 0, 2.709, 33.07, 49.6
1 2 3, 2.663, 33.65, 100.0
0 3 3, 2.646, 33.87, 23.2
1 1 4, 2.553, 35.15, 26.4
1 3 2, 2.498, 35.95, 30.7
2 0 0, 2.293, 39.28, 57.4
1 4 1, 2.175, 41.51, 29.2
0 0 6, 2.151, 42.00, 17.8
2 2 4, 1.753, 52.19, 18.8
1 4 7, 1.415, 66.02, 21.4


No. 6
Structure and theoretical powder diffractogram of Pm4MgRh3 (a structure optimized by DFT (GGA-PBE); CuKα).
Intensities are scaled so that the largest is 100.

Cell and atoms:
```
data_Pm4MgRh3
_chemical_formula_sum 'Pm16 Mg4 Rh12'
_space_group_name_H-M_alt 'I 4/m c m'
_space_group_IT_number 140
_space_group_name_Hall '-I 4 2c'
_cell_length_a 11.081
_cell_length_b 11.081
_cell_length_c 5.963
_cell_angle_alpha 90.00
_cell_angle_beta 90.00
_cell_angle_gamma 90.00
loop_
_atom_site_label
_atom_site_type_symbol
_atom_site_fract_x
_atom_site_fract_y
_atom_site_fract_z
Pm1 Pm 0.081 0.219 0.000
Mg1 Mg 0.000 0.500 0.250
Rh1 Rh 0.000 0.000 0.250
Rh2 Rh 0.157 0.343 0.500
```

Principal peaks in the range 15° ≤ 2θ ≤ 90°, low angle first:
h k l, d/Å, 2θ (°), I/Imax
0 0 2, 2.982, 29.97, 40.8
3 2 1, 2.732, 32.78, 73.0
2 0 2, 2.626, 34.15, 28.4
4 2 0, 2.478, 36.26, 39.0
4 1 1, 2.450, 36.68, 100.0
2 2 2, 2.373, 37.92, 29.0
5 2 1, 1.945, 46.70, 15.5
3 2 3, 1.669, 55.02, 16.7
4 1 3, 1.598, 57.68, 26.8
5 5 2, 1.387, 67.52, 24.6
6 4 2, 1.366, 68.72, 12.0
8 3 1, 1.267, 74.94, 10.8